# 1
The following is a theoretical powder XRD pattern of Au4S5. It was derived from a GGA-PBE-relaxed structure, using Cu Kα, 1.54184 Å.

```
data_Au4S5
_symmetry_space_group_name_H-M 'P 6/m m m'
_symmetry_Int_Tables_number 191
_symmetry_space_group_name_Hall '-P 6 2'
_cell_length_a 7.2139
_cell_length_b 7.2139
_cell_length_c 4.8481
_cell_angle_alpha 90.00
_cell_angle_beta 90.00
_cell_angle_gamma 120.00
loop_
_atom_site_label
_atom_site_type_symbol
_atom_site_fract_x
_atom_site_fract_y
_atom_site_fract_z
Au1 Au 0.0000 0.0000 0.0000
Au2 Au 0.0000 0.5000 0.5000
S1 S 0.0000 0.0000 0.5000
S2 S 0.3333 0.6667 0.2112
```

The 10 most intense peaks (2θ from 10° to 90°), low angle first:
hkl 0 0 1, 4.848 Å, intensity 26; hkl 1 0 1, 3.830 Å, intensity 68; hkl 2 0 0, 3.124 Å, intensity 100; hkl 1 1 1, 2.894 Å, intensity 45; hkl 2 0 1, 2.626 Å, intensity 44; hkl 2 1 1, 2.123 Å, intensity 30; hkl 2 0 2, 1.915 Å, intensity 82; hkl 2 2 0, 1.803 Å, intensity 33; hkl 2 2 2, 1.447 Å, intensity 19; hkl 4 0 2, 1.313 Å, intensity 28



# 2
The following is a theoretical powder XRD pattern of Au2S3. It was derived from a GGA-PBE-relaxed structure, using Cu Kα, 1.54184 Å.

```
data_Au2S3
_symmetry_space_group_name_H-M 'F d d 2'
_symmetry_Int_Tables_number 43
_symmetry_space_group_name_Hall 'F 2 -2d'
_cell_length_a 11.7609
_cell_length_b 14.4570
_cell_length_c 5.0417
_cell_angle_alpha 90.00
_cell_angle_beta 90.00
_cell_angle_gamma 90.00
loop_
_atom_site_label
_atom_site_type_symbol
_atom_site_fract_x
_atom_site_fract_y
_atom_site_fract_z
Au1 Au 0.1159 0.2044 0.0000
S1 S 0.0000 0.0000 0.0750
S2 S 0.0022 0.3345 0.1174
```

The 10 most intense peaks (2θ from 10° to 90°), low angle first:
hkl 1 1 1, 4.413 Å, intensity 100; hkl 1 3 1, 3.340 Å, intensity 21; hkl 2 4 0, 3.079 Å, intensity 70; hkl 3 1 1, 3.026 Å, intensity 50; hkl 3 3 1, 2.604 Å, intensity 48; hkl 1 5 1, 2.453 Å, intensity 27; hkl 0 2 2, 2.380 Å, intensity 28; hkl 5 3 1, 1.949 Å, intensity 23; hkl 4 2 2, 1.850 Å, intensity 30; hkl 2 6 2, 1.670 Å, intensity 28



# 3
The following is a theoretical powder XRD pattern of Au3S2. It was derived from a GGA-PBE-relaxed structure, using Cu Kα, 1.54184 Å.

```
data_Au3S2
_symmetry_space_group_name_H-M 'P -4 21 m'
_symmetry_Int_Tables_number 113
_symmetry_space_group_name_Hall 'P -4 2ab'
_cell_length_a 6.8718
_cell_length_b 6.8718
_cell_length_c 4.5425
_cell_angle_alpha 90.00
_cell_angle_beta 90.00
_cell_angle_gamma 90.00
loop_
_atom_site_label
_atom_site_type_symbol
_atom_site_fract_x
_atom_site_fract_y
_atom_site_fract_z
Au1 Au 0.0000 0.0000 0.0000
Au2 Au 0.1589 0.3411 0.2687
S1 S 0.2472 0.2528 0.7585
```

The 10 most intense peaks (2θ from 10° to 90°), low angle first:
hkl 1 0 1, 3.789 Å, intensity 70; hkl 1 1 1, 3.318 Å, intensity 100; hkl 2 1 0, 3.073 Å, intensity 87; hkl 2 0 1, 2.740 Å, intensity 32; hkl 3 1 0, 2.173 Å, intensity 61; hkl 2 2 1, 2.142 Å, intensity 50; hkl 1 1 2, 2.058 Å, intensity 32; hkl 3 0 1, 2.045 Å, intensity 45; hkl 2 0 2, 1.895 Å, intensity 42; hkl 2 1 2, 1.827 Å, intensity 38



What did the third record say?
The following is a theoretical powder XRD pattern of Au3S2. It was derived from a GGA-PBE-relaxed structure, using Cu Kα, 1.54184 Å.

```
data_Au3S2
_symmetry_space_group_name_H-M 'P -4 21 m'
_symmetry_Int_Tables_number 113
_symmetry_space_group_name_Hall 'P -4 2ab'
_cell_length_a 6.8718
_cell_length_b 6.8718
_cell_length_c 4.5425
_cell_angle_alpha 90.00
_cell_angle_beta 90.00
_cell_angle_gamma 90.00
loop_
_atom_site_label
_atom_site_type_symbol
_atom_site_fract_x
_atom_site_fract_y
_atom_site_fract_z
Au1 Au 0.0000 0.0000 0.0000
Au2 Au 0.1589 0.3411 0.2687
S1 S 0.2472 0.2528 0.7585
```

The 10 most intense peaks (2θ from 10° to 90°), low angle first:
hkl 1 0 1, 3.789 Å, intensity 70; hkl 1 1 1, 3.318 Å, intensity 100; hkl 2 1 0, 3.073 Å, intensity 87; hkl 2 0 1, 2.740 Å, intensity 32; hkl 3 1 0, 2.173 Å, intensity 61; hkl 2 2 1, 2.142 Å, intensity 50; hkl 1 1 2, 2.058 Å, intensity 32; hkl 3 0 1, 2.045 Å, intensity 45; hkl 2 0 2, 1.895 Å, intensity 42; hkl 2 1 2, 1.827 Å, intensity 38



Repeat the second record exactly.
The following is a theoretical powder XRD pattern of Au2S3. It was derived from a GGA-PBE-relaxed structure, using Cu Kα, 1.54184 Å.

```
data_Au2S3
_symmetry_space_group_name_H-M 'F d d 2'
_symmetry_Int_Tables_number 43
_symmetry_space_group_name_Hall 'F 2 -2d'
_cell_length_a 11.7609
_cell_length_b 14.4570
_cell_length_c 5.0417
_cell_angle_alpha 90.00
_cell_angle_beta 90.00
_cell_angle_gamma 90.00
loop_
_atom_site_label
_atom_site_type_symbol
_atom_site_fract_x
_atom_site_fract_y
_atom_site_fract_z
Au1 Au 0.1159 0.2044 0.0000
S1 S 0.0000 0.0000 0.0750
S2 S 0.0022 0.3345 0.1174
```

The 10 most intense peaks (2θ from 10° to 90°), low angle first:
hkl 1 1 1, 4.413 Å, intensity 100; hkl 1 3 1, 3.340 Å, intensity 21; hkl 2 4 0, 3.079 Å, intensity 70; hkl 3 1 1, 3.026 Å, intensity 50; hkl 3 3 1, 2.604 Å, intensity 48; hkl 1 5 1, 2.453 Å, intensity 27; hkl 0 2 2, 2.380 Å, intensity 28; hkl 5 3 1, 1.949 Å, intensity 23; hkl 4 2 2, 1.850 Å, intensity 30; hkl 2 6 2, 1.670 Å, intensity 28